# 1
Structure and simulated PXRD pattern of Rb2CeZnS4 (a cell relaxed with GGA-PBE; CuKα).
Kinematic intensities with the Lorentz-polarization factor, no thermal factor.

abc: 7.420 7.420 9.387
angles: 90.00 90.00 90.00
Element x y z (fractional)
Rb 0.000 0.000 0.000
Rb 0.000 0.500 0.250
Rb 0.500 0.000 0.750
Rb 0.500 0.500 0.500
Ce 0.000 0.500 0.750
Ce 0.500 0.000 0.250
Zn 0.000 0.000 0.500
Zn 0.500 0.500 0.000
S 0.157 0.235 0.619
S 0.235 0.843 0.381
S 0.265 0.657 0.881
S 0.343 0.265 0.119
S 0.657 0.735 0.119
S 0.735 0.343 0.881
S 0.765 0.157 0.381
S 0.843 0.765 0.619

Largest 12 diffraction maxima, in order of rising 2θ, 2θ from 5° to 70°:
Position (°2θ)  I/Imax
15.2  12.3
24.0  29.8
25.5  100.0
34.2  27.2
43.1  44.1
45.7  27.6
49.1  8.0
52.3  9.5
55.4  12.3
56.1  10.1
67.4  11.5
69.4  9.4

# 2
Structure and simulated PXRD pattern of Rb3Ce2ZnS6 (a cell relaxed with GGA-PBE; CuKα).
Kinematic intensities with the Lorentz-polarization factor, no thermal factor.

abc: 7.090 7.090 8.007
angles: 98.50 98.50 119.95
Element x y z (fractional)
Rb 0.000 0.000 0.000
Rb 0.334 0.666 0.000
Rb 0.666 0.334 0.000
Ce 0.167 0.833 0.500
Ce 0.833 0.167 0.500
Zn 0.500 0.500 0.500
S 0.114 0.437 0.311
S 0.239 0.239 0.690
S 0.437 0.114 0.311
S 0.563 0.886 0.689
S 0.761 0.761 0.310
S 0.886 0.563 0.689

Largest 12 diffraction maxima, in order of rising 2θ, 2θ from 5° to 70°:
Position (°2θ)  I/Imax
11.6  14.1
23.3  20.7
26.3  36.8
29.6  100.0
40.4  34.7
44.2  33.7
47.2  13.4
50.6  16.3
54.1  17.1
61.5  9.8
62.4  7.8
66.9  7.9

# 3
Structure and simulated PXRD pattern of Rb4Ce3ScSe8 (a cell relaxed with GGA-PBE; CuKα).
Kinematic intensities with the Lorentz-polarization factor, no thermal factor.

abc: 9.413 9.413 9.413
angles: 54.64 54.64 54.64
Element x y z (fractional)
Rb 0.000 0.000 0.000
Rb 0.000 0.500 0.500
Rb 0.500 0.000 0.500
Rb 0.500 0.500 0.000
Ce 0.000 0.000 0.500
Ce 0.000 0.500 0.000
Ce 0.500 0.000 0.000
Sc 0.500 0.500 0.500
Se 0.234 0.234 0.234
Se 0.249 0.723 0.723
Se 0.277 0.277 0.751
Se 0.277 0.751 0.277
Se 0.723 0.249 0.723
Se 0.723 0.723 0.249
Se 0.751 0.277 0.277
Se 0.766 0.766 0.766

Largest 12 diffraction maxima, in order of rising 2θ, 2θ from 5° to 70°:
Position (°2θ)  I/Imax
11.1  16.6
28.1  100.0
35.6  9.0
38.5  32.2
41.8  36.2
44.9  4.2
48.4  5.9
51.2  18.2
58.1  9.3
59.4  4.2
63.5  8.9
68.1  15.0

# 4
Structure and simulated PXRD pattern of RbCe6Se8 (a cell relaxed with GGA-PBE; CuKα).
Kinematic intensities with the Lorentz-polarization factor, no thermal factor.

abc: 11.359 11.359 4.327
angles: 90.00 90.00 120.00
Element x y z (fractional)
Rb 0.000 0.000 0.000
Ce 0.139 0.659 0.251
Ce 0.341 0.480 0.251
Ce 0.480 0.139 0.749
Ce 0.520 0.861 0.251
Ce 0.659 0.520 0.749
Ce 0.861 0.341 0.749
Se 0.043 0.354 0.248
Se 0.311 0.957 0.248
Se 0.333 0.667 0.751
Se 0.354 0.311 0.752
Se 0.646 0.689 0.248
Se 0.667 0.333 0.249
Se 0.689 0.043 0.752
Se 0.957 0.646 0.752

Largest 12 diffraction maxima, in order of rising 2θ, 2θ from 5° to 70°:
Position (°2θ)  I/Imax
9.0  83.1
22.4  44.2
23.9  43.6
27.2  20.9
27.5  29.4
31.7  100.0
32.8  40.4
37.9  90.9
41.7  22.8
45.3  30.7
54.1  18.7
56.1  17.0

# 5
Structure and simulated PXRD pattern of RbCeSe4 (a cell relaxed with GGA-PBE; CuKα).
Kinematic intensities with the Lorentz-polarization factor, no thermal factor.

abc: 6.401 6.401 8.763
angles: 90.00 90.00 90.00
Element x y z (fractional)
Rb 0.250 0.250 0.000
Rb 0.750 0.750 0.000
Ce 0.250 0.250 0.500
Ce 0.750 0.750 0.500
Se 0.114 0.614 0.299
Se 0.114 0.886 0.701
Se 0.386 0.614 0.701
Se 0.386 0.886 0.299
Se 0.614 0.114 0.701
Se 0.614 0.386 0.299
Se 0.886 0.114 0.299
Se 0.886 0.386 0.701

Largest 12 diffraction maxima, in order of rising 2θ, 2θ from 5° to 70°:
Position (°2θ)  I/Imax
10.1  52.0
27.9  15.0
28.4  100.0
32.9  60.8
34.7  35.0
37.5  15.3
44.8  39.7
46.0  12.5
52.6  23.4
61.7  21.3
62.5  14.8
65.4  13.2

# 6
Structure and simulated PXRD pattern of RbCeSm4Se8 (a cell relaxed with GGA-PBE; CuKα).
Kinematic intensities with the Lorentz-polarization factor, no thermal factor.

abc: 8.861 8.861 8.861
angles: 59.47 59.47 59.47
Element x y z (fractional)
Rb 0.000 0.000 0.000
Ce 0.629 0.629 0.629
Sm 0.113 0.630 0.630
Sm 0.251 0.251 0.251
Sm 0.630 0.113 0.630
Sm 0.630 0.630 0.113
Se 0.381 0.381 0.855
Se 0.381 0.855 0.381
Se 0.383 0.383 0.383
Se 0.429 0.860 0.860
Se 0.855 0.381 0.381
Se 0.859 0.859 0.859
Se 0.860 0.429 0.860
Se 0.860 0.860 0.429

Largest 12 diffraction maxima, in order of rising 2θ, 2θ from 5° to 70°:
Position (°2θ)  I/Imax
12.3  29.3
20.0  18.5
20.2  15.4
23.5  31.7
23.7  100.0
28.6  98.6
37.3  24.1
37.5  63.5
40.7  79.9
41.1  78.7
50.8  17.1
59.2  23.7

# 7
Structure and simulated PXRD pattern of RbCeVSe4 (a cell relaxed with GGA-PBE; CuKα).
Kinematic intensities with the Lorentz-polarization factor, no thermal factor.

abc: 6.868 6.845 9.546
angles: 90.00 108.25 90.00
Element x y z (fractional)
Rb 0.236 0.250 0.438
Rb 0.764 0.750 0.562
Ce 0.266 0.250 0.951
Ce 0.734 0.750 0.049
V 0.279 0.750 0.173
V 0.721 0.250 0.827
Se 0.079 0.750 0.330
Se 0.082 0.750 0.924
Se 0.485 0.509 0.790
Se 0.485 0.991 0.790
Se 0.515 0.009 0.210
Se 0.515 0.491 0.210
Se 0.918 0.250 0.076
Se 0.921 0.250 0.670

Largest 12 diffraction maxima, in order of rising 2θ, 2θ from 5° to 70°:
Position (°2θ)  I/Imax
9.8  100.0
26.0  37.8
27.2  42.0
28.3  59.9
29.5  55.9
30.3  78.6
31.2  46.8
32.8  44.2
33.1  44.1
37.7  27.7
38.1  40.3
43.7  26.5

# 8
Structure and simulated PXRD pattern of Rb2Ce2YSe6 (a cell relaxed with GGA-PBE; CuKα).
Kinematic intensities with the Lorentz-polarization factor, no thermal factor.

abc: 7.393 7.393 8.503
angles: 98.32 98.32 119.91
Element x y z (fractional)
Rb 0.167 0.833 0.000
Rb 0.833 0.167 0.000
Ce 0.334 0.666 0.500
Ce 0.666 0.334 0.500
Y 0.000 0.000 0.500
Se 0.063 0.395 0.692
Se 0.265 0.265 0.308
Se 0.395 0.063 0.692
Se 0.605 0.937 0.308
Se 0.735 0.735 0.692
Se 0.937 0.605 0.308

Largest 12 diffraction maxima, in order of rising 2θ, 2θ from 5° to 70°:
Position (°2θ)  I/Imax
10.9  44.4
28.2  100.0
35.4  18.2
38.2  31.0
42.3  36.6
44.5  8.0
47.8  10.9
51.6  6.1
51.7  12.1
58.3  8.8
63.1  6.0
68.9  15.1